Entry 1:
K2Tl2Ge: calculated PXRD pattern (Cu Kα), based on a crystal structure in Alexandria, relaxed with GGA-PBE.
Kinematic intensities with the Lorentz-polarization factor, no thermal factor.

Crystal structure
a b c (Å): 7.822 7.822 5.819
angles (deg): 90.00 90.00 90.00
Space group P4/mbm (No. 127)
Asymmetric unit:
K 0.179 0.321 0.000
Tl 0.142 0.642 0.500
Ge 0.000 0.000 0.500

Peak list (8 most intense, 10° ≤ 2θ ≤ 90°, most intense first)
| 2θ/deg | I (rel.) | hkl |
| --- | --- | --- |
| 29.8 | 100.0 | 2 1 1 |
| 15.2 | 70.2 | 0 0 1 |
| 25.5 | 33.7 | 2 1 0 |
| 30.7 | 27.5 | 0 0 2 |
| 39.6 | 25.5 | 3 1 1 |
| 36.3 | 25.2 | 3 1 0 |
| 48.3 | 22.4 | 3 1 2 |
| 40.3 | 21.1 | 2 1 2 |

Entry 2:
LaGe5: calculated PXRD pattern (Cu Kα), based on a crystal structure in Alexandria, relaxed with GGA-PBE.
Kinematic intensities with the Lorentz-polarization factor, no thermal factor.

Crystal structure
a b c (Å): 4.062 6.347 9.978
angles (deg): 90.00 90.00 90.00
Space group Immm (No. 71)
Asymmetric unit:
La 0.000 0.000 0.000
Ge 0.000 0.202 0.329
Ge 0.000 0.500 0.000

Peak list (8 most intense, 10° ≤ 2θ ≤ 90°, most intense first)
| 2θ/deg | I (rel.) | hkl |
| --- | --- | --- |
| 34.9 | 100.0 | 1 0 3 |
| 37.1 | 70.0 | 1 2 1 |
| 33.5 | 51.2 | 0 2 2 |
| 44.6 | 25.0 | 2 0 0 |
| 56.9 | 22.0 | 2 2 2 |
| 59.2 | 21.3 | 1 2 5 |
| 26.0 | 18.7 | 1 1 0 |
| 46.3 | 16.6 | 0 2 4 |

Entry 3:
LaGe: calculated PXRD pattern (Cu Kα), based on a crystal structure in Alexandria, relaxed with GGA-PBE.
Kinematic intensities with the Lorentz-polarization factor, no thermal factor.

Crystal structure
a b c (Å): 4.623 11.346 4.137
angles (deg): 90.00 90.00 90.00
Space group Cmcm (No. 63)
Asymmetric unit:
La 0.000 0.138 0.250
Ge 0.000 0.422 0.250

Peak list (8 most intense, 10° ≤ 2θ ≤ 90°, most intense first)
| 2θ/deg | I (rel.) | hkl |
| --- | --- | --- |
| 30.0 | 100.0 | 1 1 1 |
| 37.6 | 58.5 | 1 3 1 |
| 30.5 | 38.5 | 1 3 0 |
| 39.0 | 28.5 | 2 0 0 |
| 31.5 | 27.9 | 0 4 0 |
| 43.8 | 20.5 | 0 0 2 |
| 26.7 | 18.0 | 0 2 1 |
| 38.5 | 17.2 | 0 4 1 |

Entry 4:
LiLa3Ge: calculated PXRD pattern (Cu Kα), based on a crystal structure in Alexandria, relaxed with GGA-PBE.
Kinematic intensities with the Lorentz-polarization factor, no thermal factor.

Crystal structure
a b c (Å): 4.197 7.451 10.092
angles (deg): 88.04 89.91 73.68
Space group P-1 (No. 2)
Asymmetric unit:
Li 0.187 0.129 0.436
La 0.052 0.397 0.151
La 0.244 0.012 0.831
La 0.426 0.643 0.370
Ge 0.393 0.714 0.071

Peak list (8 most intense, 10° ≤ 2θ ≤ 90°, most intense first)
| 2θ/deg | I (rel.) | hkl |
| --- | --- | --- |
| 29.5 | 100.0 | 1 2 1 |
| 34.9 | 41.7 | 1 0 3 |
| 31.2 | 33.7 | 0 2 -2 |
| 29.9 | 31.6 | 1 -1 1 |
| 43.1 | 26.8 | 2 1 0 |
| 28.2 | 18.4 | 1 0 -2 |
| 37.8 | 17.2 | 0 3 0 |
| 35.6 | 16.9 | 0 0 4 |